Calculated X-ray powder pattern of Li2Ni3SnO8 for CuKα, from a crystal structure in Alexandria, relaxed with GGA+U.
Lines closer than 0.1° are merged.

Structure:
abc: 6.011 6.011 6.011
angles: 58.52 58.52 58.52
Sites, in units of the cell vectors:
1 Li 0.120 0.120 0.120
2 Li 0.880 0.880 0.880
3 Ni 0.000 0.500 0.500
4 Ni 0.500 0.000 0.500
5 Ni 0.500 0.500 0.000
6 Sn 0.500 0.500 0.500
7 O 0.254 0.254 0.716
8 O 0.254 0.716 0.254
9 O 0.266 0.266 0.266
10 O 0.284 0.746 0.746
11 O 0.716 0.254 0.254
12 O 0.734 0.734 0.734
13 O 0.746 0.284 0.746
14 O 0.746 0.746 0.284

Principal peaks in the range 10° ≤ 2θ ≤ 90°, in order of rising 2θ:
2θ (°)	d_spacing	I (rel.)
17.9	4.962	10
18.4	4.815	100
34.9	2.570	20
35.5	2.528	38
37.4	2.408	17
43.1	2.100	55
47.7	1.907	12
57.0	1.616	13
61.8	1.502	18
63.3	1.469	17